# BaU4Cu3Te12
Computed powder X-ray diffraction pattern, Cu Kα (weighted mean of Kα1 and Kα2). Input: a PBE-relaxed structure.
Lines closer than 0.1° are merged.

The 10 most intense peaks (2θ = 10–80°), by intensity:
d [Å]	two_theta	I_rel
2.244	40.2	100
3.477	25.6	73
3.887	22.9	57
2.938	30.4	45
2.458	36.6	44
1.296	73.0	43
5.497	16.1	36
2.749	32.6	34
1.885	48.3	28
1.738	52.7	24

a b c (Å): 9.5213 9.5213 9.5213
angles (deg): 109.47 109.47 109.47
Atoms (fractional coordinates):
Ba  0.0000  0.0000  0.0000
U  0.0000  0.0000  0.5000
U  0.0000  0.5000  0.0000
U  0.5000  0.0000  0.0000
U  0.5000  0.5000  0.5000
Cu  0.0000  0.5000  0.5000
Cu  0.5000  0.0000  0.5000
Cu  0.5000  0.5000  0.0000
Te  0.1528  0.8345  0.3182
Te  0.1655  0.3182  0.4837
Te  0.1655  0.6818  0.8472
Te  0.3182  0.1528  0.8345
Te  0.3182  0.4837  0.1655
Te  0.4837  0.1655  0.3182
Te  0.5163  0.8345  0.6818
Te  0.6818  0.5163  0.8345
Te  0.6818  0.8472  0.1655
Te  0.8345  0.3182  0.1528
Te  0.8345  0.6818  0.5163
Te  0.8472  0.1655  0.6818